Cs3Ac2I9: simulated powder X-ray diffraction pattern (CuKα), based on a crystal structure in Alexandria, relaxed with PBE.
No peak broadening, texture or thermal motion is included.

Peak list (6 most intense, 2θ from 5° to 70°, sorted by position)
- 12.14 deg, I 100
- 24.42 deg, I 91
- 25.85 deg, I 86
- 27.74 deg, I 83
- 30.01 deg, I 92
- 40.79 deg, I 84

a = 8.8477 Å, b = 8.8477 Å, c = 23.6593 Å
α = 90.00°, β = 90.00°, γ = 120.00°
Positions (direct):
Cs 0.0000 0.0000 0.2500
Cs 0.0000 0.0000 0.7500
Cs 0.3333 0.6667 0.0514
Cs 0.3333 0.6667 0.4486
Cs 0.6667 0.3333 0.5514
Cs 0.6667 0.3333 0.9486
Ac 0.3333 0.6667 0.6553
Ac 0.3333 0.6667 0.8447
Ac 0.6667 0.3333 0.1553
Ac 0.6667 0.3333 0.3447
I 0.0027 0.5013 0.7500
I 0.1601 0.3202 0.5823
I 0.1601 0.3202 0.9177
I 0.1601 0.8399 0.5823
I 0.1601 0.8399 0.9177
I 0.3202 0.1601 0.0823
I 0.3202 0.1601 0.4177
I 0.4987 0.5013 0.7500
I 0.4987 0.9973 0.7500
I 0.5013 0.0027 0.2500
I 0.5013 0.4987 0.2500
I 0.6798 0.8399 0.5823
I 0.6798 0.8399 0.9177
I 0.8399 0.1601 0.0823
I 0.8399 0.1601 0.4177
I 0.8399 0.6798 0.0823
I 0.8399 0.6798 0.4177
I 0.9973 0.4987 0.2500